1.
Starting from a crystal structure in the Materials Project, relaxed with PBE+U, the powder diffraction line list of MgTl4Ni4O12 was computed for a wavelength of 1.5418 Å.

abc: 5.4679 5.5448 8.5797
angles: 84.28 84.19 85.91
Element x y z (fractional)
Mg (0.0000, 0.0000, 0.0000)
Tl (0.1371, 0.1141, 0.6274)
Tl (0.1596, 0.2844, 0.2238)
Tl (0.6233, 0.5872, 0.0757)
Tl (0.6694, 0.6097, 0.6331)
Ni (0.1373, 0.5935, 0.8708)
Ni (0.1721, 0.7020, 0.4205)
Ni (0.5887, 0.1046, 0.8566)
Ni (0.6531, 0.1723, 0.4014)
O (0.0031, 0.6480, 0.1042)
O (0.2722, 0.7018, 0.6483)
O (0.3472, 0.8838, 0.9429)
O (0.3494, 0.9908, 0.3670)
O (0.3891, 0.3564, 0.9595)
O (0.4399, 0.4964, 0.3223)
O (0.5262, 0.2193, 0.6326)
O (0.8048, 0.1670, 0.1722)
O (0.8151, 0.8160, 0.8377)
O (0.8853, 0.9008, 0.4877)
O (0.9153, 0.2890, 0.8306)
O (0.9659, 0.4236, 0.4642)

Largest 10 diffraction maxima, sorted by position, 2θ from 10° to 80°:
2theta	I_rel
18.36	34
22.27	29
23.72	31
25.25	26
28.50	25
31.80	100
32.52	31
32.82	67
33.00	54
36.28	29

2.
Starting from a crystal structure in the Materials Project, relaxed with PBE+U, the powder diffraction line list of Li2V3TeO8 was computed for a wavelength of 1.5418 Å.

abc: 6.2441 6.2441 6.2441
angles: 57.88 57.88 57.88
Element x y z (fractional)
Li (0.1279, 0.1279, 0.1279)
Li (0.8721, 0.8721, 0.8721)
V (0.0000, 0.5000, 0.5000)
V (0.5000, 0.0000, 0.5000)
V (0.5000, 0.5000, 0.0000)
Te (0.5000, 0.5000, 0.5000)
O (0.2585, 0.2585, 0.7176)
O (0.2585, 0.7176, 0.2585)
O (0.2660, 0.2660, 0.2660)
O (0.2824, 0.7415, 0.7415)
O (0.7176, 0.2585, 0.2585)
O (0.7340, 0.7340, 0.7340)
O (0.7415, 0.2824, 0.7415)
O (0.7415, 0.7415, 0.2824)

Largest 10 diffraction maxima, sorted by position, 2θ from 10° to 80°:
2theta	I_rel
17.89	100
20.46	11
33.54	20
34.36	35
36.23	11
41.62	50
46.25	14
55.04	13
59.26	16
61.37	15

3.
Starting from a crystal structure in the Materials Project, relaxed with PBE+U, the powder diffraction line list of BaNaCaMnO6 was computed for a wavelength of 1.5418 Å.

abc: 5.9133 5.9133 5.9133
angles: 60.00 60.00 60.00
Element x y z (fractional)
Ba (0.0000, 0.0000, 0.0000)
Na (0.5000, 0.5000, 0.5000)
Ca (0.7500, 0.7500, 0.7500)
Mn (0.2500, 0.2500, 0.2500)
O (0.0235, 0.0235, 0.4765)
O (0.0235, 0.4765, 0.0235)
O (0.0235, 0.4765, 0.4765)
O (0.4765, 0.0235, 0.0235)
O (0.4765, 0.0235, 0.4765)
O (0.4765, 0.4765, 0.0235)

Largest 10 diffraction maxima, sorted by position, 2θ from 10° to 80°:
2theta	I_rel
18.38	55
30.23	100
35.61	30
37.25	17
43.28	43
47.39	13
53.69	37
57.24	11
62.86	24
71.33	18